1.
# Sr5Tl2O2
Theoretical X-ray diffraction stick pattern, Cu Kα. Input: DFT lattice parameters and positions (GGA-PBE).

Cell and atoms:
abc: 11.6126 11.6126 11.6126
angles: 53.63 142.58 143.02
Positions (direct):
Sr1 0.0425 0.1465 0.3960
Sr2 0.2308 0.4059 0.1117
Sr3 0.2308 0.6192 0.3249
Sr4 0.2481 0.0052 0.2533
Sr5 0.2481 0.4948 0.7430
Sr6 0.2942 0.1192 0.8883
Sr7 0.2942 0.9059 0.6751
Sr8 0.7505 0.6465 0.6040
Sr9 0.7519 0.5052 0.2570
Sr10 0.7519 0.9948 0.7467
Tl1 0.7387 0.1360 0.3854
Tl2 0.7387 0.8532 0.1027
Tl3 0.7506 0.3532 0.6146
Tl4 0.7506 0.6360 0.8973
O1 0.1377 0.9696 0.6680
O2 0.2517 0.2517 0.0000
O3 0.2517 0.7517 0.5000
O4 0.3016 0.4696 0.3320

Most intense lines, 10 to 90 degrees two-theta, by angle:
2θ/deg, I/Imax
16.9, 38
23.9, 26
24.2, 63
29.5, 97
29.8, 100
31.0, 53
34.2, 83
34.6, 32
47.2, 25
49.5, 46

---

2.
# Rb5BeI8
Theoretical X-ray diffraction stick pattern, Cu Kα. Input: DFT lattice parameters and positions (GGA-PBE).

Cell and atoms:
abc: 10.0545 10.0545 10.0545
angles: 115.45 115.45 98.08
Positions (direct):
Rb1 0.0000 0.0000 0.0000
Rb2 0.1000 0.2564 0.5789
Rb3 0.4789 0.9000 0.1564
Rb4 0.6775 0.5211 0.4211
Rb5 0.7436 0.3225 0.8436
Be1 0.2500 0.7500 0.5000
I1 0.0098 0.6047 0.8293
I2 0.3286 0.6512 0.2910
I3 0.3488 0.6399 0.6774
I4 0.3601 0.0376 0.7090
I5 0.3953 0.2246 0.4051
I6 0.7754 0.1805 0.1707
I7 0.8195 0.9902 0.5949
I8 0.9624 0.6714 0.3226

Most intense lines, 10 to 90 degrees two-theta, by angle:
2θ/deg, I/Imax
19.7, 44
21.3, 73
21.9, 37
26.2, 100
27.1, 52
27.5, 37
29.6, 46
30.8, 65
32.3, 51
38.1, 52

---

3.
# Tl2ReCl5O
Theoretical X-ray diffraction stick pattern, Cu Kα. Input: DFT lattice parameters and positions (GGA-PBE).

Cell and atoms:
abc: 6.9419 6.9419 6.9419
angles: 115.98 115.98 97.11
Positions (direct):
Tl1 0.0000 0.5000 0.5000
Tl2 0.5000 0.0000 0.5000
Re1 0.2380 0.2380 0.0000
Cl1 0.0290 0.0290 0.5396
Cl2 0.0290 0.4893 0.0000
Cl3 0.4893 0.0290 0.0000
Cl4 0.4893 0.4893 0.4604
Cl5 0.5039 0.5039 0.0000
O1 0.0523 0.0523 0.0000

Most intense lines, 10 to 90 degrees two-theta, by angle:
2θ/deg, I/Imax
15.4, 51
24.2, 50
25.9, 100
31.1, 38
34.5, 50
39.2, 17
43.6, 50
46.6, 18
49.5, 17
53.2, 27

---

4.
# VCu2SnAs
Theoretical X-ray diffraction stick pattern, Cu Kα. Input: DFT lattice parameters and positions (GGA-PBE).

Cell and atoms:
abc: 4.5946 4.5946 5.1071
angles: 90.00 90.00 90.00
Positions (direct):
V1 0.0000 0.0000 0.0000
Cu1 0.0000 0.5000 0.0000
Cu2 0.5000 0.0000 0.0000
Sn1 0.0000 0.0000 0.5000
As1 0.5000 0.5000 0.5000

Most intense lines, 10 to 90 degrees two-theta, by angle:
2θ/deg, I/Imax
19.3, 20
32.7, 100
35.1, 37
39.2, 55
53.7, 43
56.7, 18
61.5, 16
67.0, 25
68.5, 20
88.5, 12

---

5.
# ScNi5Ge3
Theoretical X-ray diffraction stick pattern, Cu Kα. Input: DFT lattice parameters and positions (GGA-PBE).

Cell and atoms:
abc: 6.8186 6.8186 9.6722
angles: 90.00 90.00 146.27
Positions (direct):
Sc1 0.2462 0.7538 0.7500
Sc2 0.7538 0.2462 0.2500
Ni1 0.0576 0.9424 0.6205
Ni2 0.0576 0.9424 0.8795
Ni3 0.3119 0.6881 0.0348
Ni4 0.3119 0.6881 0.4652
Ni5 0.5000 0.5000 0.0000
Ni6 0.5000 0.5000 0.5000
Ni7 0.6881 0.3119 0.5348
Ni8 0.6881 0.3119 0.9652
Ni9 0.9424 0.0576 0.1205
Ni10 0.9424 0.0576 0.3795
Ge1 0.1311 0.8689 0.1002
Ge2 0.1311 0.8689 0.3998
Ge3 0.4177 0.5823 0.2500
Ge4 0.5823 0.4177 0.7500
Ge5 0.8689 0.1311 0.6002
Ge6 0.8689 0.1311 0.8998

Most intense lines, 10 to 90 degrees two-theta, by angle:
2θ/deg, I/Imax
18.3, 26
28.9, 23
36.6, 30
41.4, 25
41.7, 20
42.6, 41
44.5, 100
45.7, 76
45.9, 60
50.6, 48

---

6.
# Ac2Pr2Se3S2
Theoretical X-ray diffraction stick pattern, Cu Kα. Input: DFT lattice parameters and positions (GGA-PBE).

Cell and atoms:
abc: 8.6381 8.6381 8.6381
angles: 139.69 139.69 58.33
Positions (direct):
Ac1 0.2134 0.2134 0.0000
Ac2 0.7866 0.7866 0.0000
Pr1 0.0000 0.5000 0.5000
Pr2 0.5000 0.0000 0.5000
Se1 0.0000 0.0000 0.0000
Se2 0.2500 0.7500 0.5000
Se3 0.7500 0.2500 0.5000
S1 0.4035 0.4035 0.0000
S2 0.5965 0.5965 0.0000

Most intense lines, 10 to 90 degrees two-theta, by angle:
2θ/deg, I/Imax
23.6, 47
24.2, 54
30.0, 100
33.3, 43
38.5, 53
43.0, 37
45.4, 36
49.6, 26
49.9, 17
70.8, 24

---

7.
# RbInGeI4
Theoretical X-ray diffraction stick pattern, Cu Kα. Input: DFT lattice parameters and positions (GGA-PBE).

Cell and atoms:
abc: 8.1506 7.9112 10.4028
angles: 90.00 106.96 90.00
Positions (direct):
Rb1 0.2468 0.2500 0.0715
Rb2 0.7532 0.7500 0.9285
In1 0.2914 0.2500 0.5841
In2 0.7086 0.7500 0.4159
Ge1 0.2608 0.7500 0.8055
Ge2 0.7392 0.2500 0.1945
I1 0.0214 0.0038 0.7434
I2 0.0214 0.4962 0.7434
I3 0.3989 0.7500 0.5810
I4 0.4241 0.7500 0.1273
I5 0.5759 0.2500 0.8727
I6 0.6011 0.2500 0.4190
I7 0.9786 0.5038 0.2566
I8 0.9786 0.9962 0.2566

Most intense lines, 10 to 90 degrees two-theta, by angle:
2θ/deg, I/Imax
23.9, 71
24.6, 57
25.2, 100
26.4, 33
27.1, 38
28.8, 39
29.0, 51
32.2, 35
34.5, 59
58.6, 32

---

8.
# Li4Th3MgTe8
Theoretical X-ray diffraction stick pattern, Cu Kα. Input: DFT lattice parameters and positions (GGA-PBE).

Cell and atoms:
abc: 8.7310 8.7310 8.7310
angles: 59.51 59.51 59.51
Positions (direct):
Li1 0.0000 0.0000 0.0000
Li2 0.0000 0.5000 0.5000
Li3 0.5000 0.0000 0.5000
Li4 0.5000 0.5000 0.0000
Th1 0.0000 0.0000 0.5000
Th2 0.0000 0.5000 0.0000
Th3 0.5000 0.0000 0.0000
Mg1 0.5000 0.5000 0.5000
Te1 0.2530 0.2530 0.7347
Te2 0.2530 0.7347 0.2530
Te3 0.2576 0.2576 0.2576
Te4 0.2653 0.7470 0.7470
Te5 0.7347 0.2530 0.2530
Te6 0.7424 0.7424 0.7424
Te7 0.7470 0.2653 0.7470
Te8 0.7470 0.7470 0.2653

Most intense lines, 10 to 90 degrees two-theta, by angle:
2θ/deg, I/Imax
12.4, 28
24.1, 32
29.0, 100
31.7, 18
41.4, 38
41.7, 38
51.6, 20
60.2, 12
68.0, 17
68.4, 17

---

9.
# TbAlGe2O7
Theoretical X-ray diffraction stick pattern, Cu Kα. Input: DFT lattice parameters and positions (GGA-PBE).

Cell and atoms:
abc: 7.2429 6.5461 12.7289
angles: 90.00 118.01 90.00
Positions (direct):
Tb1 0.2425 0.1468 0.4710
Tb2 0.2425 0.3532 0.9710
Tb3 0.7575 0.6468 0.0290
Tb4 0.7575 0.8532 0.5290
Al1 0.2103 0.0984 0.7281
Al2 0.2103 0.4016 0.2281
Al3 0.7897 0.5984 0.7719
Al4 0.7897 0.9016 0.2719
Ge1 0.2143 0.6582 0.4529
Ge2 0.2143 0.8418 0.9529
Ge3 0.3042 0.5880 0.7227
Ge4 0.3042 0.9120 0.2227
Ge5 0.6958 0.0880 0.7773
Ge6 0.6958 0.4120 0.2773
Ge7 0.7857 0.1582 0.0471
Ge8 0.7857 0.3418 0.5471
O1 0.0125 0.6538 0.9183
O2 0.0125 0.8462 0.4183
O3 0.1558 0.6857 0.1887
O4 0.1558 0.8143 0.6887
O5 0.2107 0.0546 0.8680
O6 0.2107 0.4454 0.3680
O7 0.2221 0.1196 0.2785
O8 0.2221 0.3804 0.7785
O9 0.2538 0.0024 0.0757
O10 0.2538 0.4976 0.5757
O11 0.4107 0.6702 0.9761
O12 0.4107 0.8298 0.4761
O13 0.4214 0.1174 0.6906
O14 0.4214 0.3826 0.1906
O15 0.5786 0.6174 0.8094
O16 0.5786 0.8826 0.3094
O17 0.5893 0.1702 0.5239
O18 0.5893 0.3298 0.0239
O19 0.7462 0.5024 0.4243
O20 0.7462 0.9976 0.9243
O21 0.7779 0.6196 0.2215
O22 0.7779 0.8804 0.7215
O23 0.7893 0.5546 0.6320
O24 0.7893 0.9454 0.1320
O25 0.8442 0.1857 0.3113
O26 0.8442 0.3143 0.8113
O27 0.9875 0.1538 0.5817
O28 0.9875 0.3462 0.0817

Most intense lines, 10 to 90 degrees two-theta, by angle:
2θ/deg, I/Imax
15.8, 37
24.7, 27
27.9, 100
28.1, 59
30.0, 96
31.0, 31
31.9, 33
33.4, 36
36.5, 28
48.3, 36

---

10.
# Sr2Cd5Ge3
Theoretical X-ray diffraction stick pattern, Cu Kα. Input: DFT lattice parameters and positions (GGA-PBE).

Cell and atoms:
abc: 4.6218 4.6218 11.9701
angles: 90.00 90.00 90.00
Positions (direct):
Sr1 0.0000 0.5000 0.2337
Sr2 0.5000 0.0000 0.7663
Cd1 0.0000 0.0000 0.5000
Cd2 0.0000 0.5000 0.6483
Cd3 0.5000 0.0000 0.3517
Cd4 0.5000 0.5000 0.0000
Cd5 0.5000 0.5000 0.5000
Ge1 0.0000 0.0000 0.0000
Ge2 0.0000 0.5000 0.8725
Ge3 0.5000 0.0000 0.1275

Most intense lines, 10 to 90 degrees two-theta, by angle:
2θ/deg, I/Imax
29.6, 32
31.2, 100
39.0, 59
40.9, 38
42.5, 24
49.7, 15
56.3, 19
59.0, 18
65.8, 22
71.9, 13

---

11.
# CaPbF6
Theoretical X-ray diffraction stick pattern, Cu Kα. Input: DFT lattice parameters and positions (GGA-PBE).

Cell and atoms:
abc: 6.1668 6.1668 6.1668
angles: 60.00 60.00 60.00
Positions (direct):
Ca1 0.0000 0.0000 0.0000
Pb1 0.5000 0.5000 0.5000
F1 0.2596 0.2596 0.7404
F2 0.2596 0.7404 0.2596
F3 0.2596 0.7404 0.7404
F4 0.7404 0.2596 0.2596
F5 0.7404 0.2596 0.7404
F6 0.7404 0.7404 0.2596

Most intense lines, 10 to 90 degrees two-theta, by angle:
2θ/deg, I/Imax
17.6, 60
20.4, 100
29.0, 43
34.1, 34
41.4, 25
45.3, 14
46.6, 44
51.3, 19
60.0, 15
64.1, 21

---

12.
# LaGa2Sb2
Theoretical X-ray diffraction stick pattern, Cu Kα. Input: DFT lattice parameters and positions (GGA-PBE).

Cell and atoms:
abc: 5.9494 5.9494 5.9494
angles: 125.79 125.79 80.23
Positions (direct):
La1 0.0000 0.0000 0.0000
Ga1 0.3599 0.3599 0.0000
Ga2 0.6401 0.6401 0.0000
Sb1 0.2500 0.7500 0.5000
Sb2 0.7500 0.2500 0.5000

Most intense lines, 10 to 90 degrees two-theta, by angle:
2θ/deg, I/Imax
30.5, 100
33.0, 91
33.9, 43
46.4, 15
47.4, 33
48.0, 32
57.4, 33
66.3, 18
79.0, 14
85.5, 18